# Pm4Ho15In
Simulated powder X-ray diffraction pattern, Cu Kα, 1.54184 Å. Input: DFT lattice parameters and positions (GGA-PBE).
Peak positions follow from Bragg's law for the DFT cell and can differ from measured ones.

Crystal structure
```
20
Lattice="3.691 0.000 0.000 0.000 5.616 0.000 0.000 0.000 30.576" Properties=species:S:1:pos:R:3 pbc="T T T"
Pm 0.000 0.000 3.355
Pm 0.000 0.000 9.696
Pm 0.000 0.000 20.880
Pm 0.000 0.000 27.221
Ho 0.000 2.808 0.000
Ho 0.000 2.808 5.674
Ho 0.000 2.808 11.952
Ho 0.000 2.808 18.624
Ho 0.000 2.808 24.902
Ho 1.846 0.000 0.000
Ho 1.846 0.000 6.585
Ho 1.846 0.000 12.736
Ho 1.846 0.000 17.840
Ho 1.846 0.000 23.991
Ho 1.846 2.808 2.721
Ho 1.846 2.808 8.769
Ho 1.846 2.808 15.288
Ho 1.846 2.808 21.807
Ho 1.846 2.808 27.856
In 0.000 0.000 15.288
```

Most intense lines, 2θ = 10–80°, by angle:
2θ = 29.21°, d 3.058, I = 20, (0 0 10); 2θ = 30.76°, d 2.907, I = 15, (0 1 9); 2θ = 31.87°, d 2.808, I = 31, (0 2 0); 2θ = 32.51°, d 2.754, I = 100, (1 1 5); 2θ = 36.05°, d 2.491, I = 9, (0 1 11); 2θ = 43.77°, d 2.068, I = 13, (0 2 10); 2θ = 49.38°, d 1.846, I = 9, (2 0 0); 2θ = 57.20°, d 1.611, I = 20, (1 3 5); 2θ = 59.15°, d 1.562, I = 9, (1 2 14); 2θ = 59.98°, d 1.542, I = 10, (2 2 0)